1.
Theoretical powder diffraction line list of Lu4TlCdN2 for Cu Ka, from a DFT-relaxed cell (GGA-PBE, OQMD).
Lines closer than 0.1° are merged.

Structural model:
```
8
Lattice="3.423 0.000 0.000 -1.712 2.965 0.000 0.000 0.000 15.365" Properties=species:S:1:pos:R:3 pbc="T T T"
Lu 0.000 0.000 2.515
Lu 0.000 0.000 12.851
Lu 0.000 1.977 5.113
Lu 0.000 1.977 10.253
Tl 0.000 0.000 7.683
Cd 0.000 1.977 0.000
N 1.712 0.988 3.860
N 1.712 0.988 11.506
```

Principal peaks in the range 15° ≤ 2θ ≤ 90°, by angle:
2θ/deg  I/Imax
30.14  19
34.98  100
46.88  14
53.54  17
62.67  2
62.81  15
65.58  31
73.87  3
74.04  2
81.96  2
87.06  6
89.54  12

---

2.
Theoretical powder diffraction line list of Tm4HgB2Pb for Cu Ka, from a DFT-relaxed cell (GGA-PBE, OQMD).
Lines closer than 0.1° are merged.

Structural model:
```
8
Lattice="3.701 0.000 0.000 -1.850 3.205 0.000 0.000 0.000 15.727" Properties=species:S:1:pos:R:3 pbc="T T T"
Tm 0.000 0.000 2.442
Tm 0.000 0.000 13.286
Tm 1.850 1.068 5.234
Tm 1.850 1.068 10.493
Hg 1.850 1.068 0.000
B 0.000 2.137 3.800
B 0.000 2.137 11.927
Pb 0.000 0.000 7.864
```

Principal peaks in the range 15° ≤ 2θ ≤ 90°, by angle:
2θ/deg  I/Imax
27.84  24
32.75  100
34.21  18
44.66  14
49.24  22
57.51  3
60.37  33
61.32  21
68.65  4
79.05  3
81.54  22
89.03  4

---

3.
Theoretical powder diffraction line list of DyEr3Si4 for Cu Ka, from a DFT-relaxed cell (GGA-PBE, OQMD).
Lines closer than 0.1° are merged.

Structural model:
```
8
Lattice="5.654 0.000 0.000 0.000 3.813 0.000 -0.006 0.000 7.839" Properties=species:S:1:pos:R:3 pbc="T T T"
Dy 0.000 0.000 0.000
Er 1.527 0.000 3.921
Er 2.827 1.907 1.115
Er 4.353 1.907 5.030
Si 0.090 1.907 2.222
Si 1.441 1.907 6.128
Si 2.911 0.000 6.734
Si 4.266 0.000 2.822
```

Principal peaks in the range 15° ≤ 2θ ≤ 90°, by angle:
2θ/deg  I/Imax
22.69  27
27.69  31
28.23  40
30.49  100
32.76  73
33.70  80
36.51  41
37.93  45
41.39  37
47.70  24
53.45  41
59.63  29